Starting from a crystal structure in Alexandria, relaxed with PBE, the powder diffractogram of Al2Sn2O7 was simulated for copper Kα.
Lines closer than 0.1° are merged.

Most intense lines, 10° ≤ 2θ ≤ 90°, most intense first:
- hkl 2 2 2, d 2.868, 31.2 deg, I 100
- hkl 4 4 0, d 1.756, 52.1 deg, I 62
- hkl 1 1 1, d 5.735, 15.4 deg, I 46
- hkl 3 1 1, d 2.995, 29.8 deg, I 45
- hkl 6 2 2, d 1.498, 62.0 deg, I 44
- hkl 4 0 0, d 2.484, 36.2 deg, I 20
- hkl 6 6 2, d 1.140, 85.1 deg, I 19
- hkl 3 3 3, d 1.912, 47.6 deg, I 14
- hkl 5 3 1, d 1.679, 54.7 deg, I 12
- hkl 7 3 1, d 1.293, 73.2 deg, I 12

abc: 9.9341 9.9341 9.9341
angles: 90.00 90.00 90.00
Space group Fd-3m (No. 227, origin choice 2)
Unique sites:
Al  0.0000  0.0000  0.0000 (multiplicity 16)
Sn  0.0000  0.0000  0.5000 (multiplicity 16)
O  0.1067  0.3750  0.8750 (multiplicity 48)
O  0.1250  0.1250  0.1250 (multiplicity 8)